Y3VO6: theoretical X-ray diffraction stick pattern (Cu Kα X-rays), based on a PBE+U-relaxed structure.
Lines closer than 0.1° are merged.

Main lines, in order of rising 2θ (10° ≤ 2θ ≤ 90°):
2θ/deg  intensity
20.52  9
30.37  100
31.05  15
32.38  13
32.83  10
45.32  13
46.78  23
51.75  9
56.51  14
57.08  11

Atomic structure:
Unit cell a=9.0227 b=10.9129 c=5.5300 alpha=90.00 beta=90.00 gamma=90.00
Space group Cmc2_1 (No. 36)
Symmetry-distinct sites (fractional):
1 Y 0.0000 0.1037 0.0000
2 Y 0.2046 0.3844 0.0529
3 V 0.0000 0.3489 0.5631
4 O 0.0000 0.2775 0.2434
5 O 0.0000 0.4870 0.8764
6 O 0.1492 0.2527 0.7463
7 O 0.1588 0.0139 0.2766